Starting from a crystal structure in Alexandria, relaxed with GGA-PBE, the X-ray diffraction stick pattern of KYP2O7 was computed for Cu Kα (λ = 1.5418 Å).

Structure:
```
KYP2O7
1.0
2.885 -4.701 0.000
2.885 4.701 0.000
0.000 0.000 12.503
K Y P O
2 2 4 14
Cartesian
2.885 2.907 9.377 K
2.885 -2.907 3.126 K
2.885 0.000 0.000 Y
2.885 0.000 6.251 Y
2.885 3.328 1.621 P
2.885 3.328 4.630 P
2.885 -3.328 7.872 P
2.885 -3.328 10.882 P
1.273 0.529 7.779 O
1.273 0.529 10.975 O
2.885 2.658 3.126 O
2.885 2.109 0.717 O
2.885 2.109 5.534 O
1.273 -0.529 1.528 O
1.273 -0.529 4.724 O
4.498 0.529 7.779 O
4.498 0.529 10.975 O
2.885 -2.109 6.969 O
2.885 -2.109 11.785 O
2.885 -2.658 9.377 O
4.498 -0.529 1.528 O
4.498 -0.529 4.724 O
```

Top 12 peaks for 5° ≤ 2θ ≤ 70°, low angle first:
two_theta, I/Imax
14.2, 18
20.2, 15
23.0, 100
23.7, 46
28.1, 34
28.6, 16
31.0, 28
32.5, 45
34.0, 40
39.4, 22
42.6, 16
53.3, 21